Record 1
Diffraction record for ZnCd3I8. The powder X-ray diffraction pattern is theoretical, not measured: it uses a crystal structure in Alexandria, relaxed with GGA-PBE and λ = 1.5418 Å (Cu Kα).

Largest 10 diffraction maxima, low angle first, 15 to 90 degrees two-theta:
2θ = 24.4°, d = 3.645 Å, rel. 16, hkl 4 0 -1; 2θ = 25.4°, d = 3.500 Å, rel. 24, hkl 2 2 0; 2θ = 28.8°, d = 3.103 Å, rel. 100, hkl 2 2 -2; 2θ = 29.1°, d = 3.073 Å, rel. 50, hkl 4 0 0; 2θ = 36.8°, d = 2.442 Å, rel. 17, hkl 2 2 -3; 2θ = 39.8°, d = 2.266 Å, rel. 18, hkl 4 0 -4; 2θ = 40.3°, d = 2.236 Å, rel. 37, hkl 2 2 2; 2θ = 42.3°, d = 2.134 Å, rel. 35, hkl 6 2 -2; 2θ = 42.5°, d = 2.129 Å, rel. 17, hkl 0 4 0; 2θ = 52.3°, d = 1.750 Å, rel. 18, hkl 4 4 0

Structural model:
Cell: 14.803 8.516 9.083 Å, 90.00 123.86 90.00°
Space group C2/m (No. 12)
One atom of each set of equivalent atoms:
Zn  0.000  0.000  0.000 x2
Cd  0.000  0.500  0.000 x2
Cd  0.250  0.250  0.000 x4
I  0.004  0.240  0.776 x8
I  0.237  0.000  0.224 x4
I  0.245  0.500  0.231 x4

***

Record 2
Diffraction record for Ga4Ru3Pt. The powder X-ray diffraction pattern is theoretical, not measured: it uses a crystal structure in Alexandria, relaxed with GGA-PBE and λ = 1.5418 Å (Cu Kα).

Largest 10 diffraction maxima, low angle first, 15 to 90 degrees two-theta:
2θ = 29.6°, d = 3.017 Å, rel. 9, hkl 0 1 2; 2θ = 41.7°, d = 2.166 Å, rel. 100, hkl 1 1 2; 2θ = 42.2°, d = 2.142 Å, rel. 24, hkl 0 0 4; 2θ = 42.6°, d = 2.124 Å, rel. 24, hkl 0 2 0; 2θ = 59.4°, d = 1.556 Å, rel. 9, hkl 2 0 0; 2θ = 61.5°, d = 1.508 Å, rel. 15, hkl 0 2 4; 2θ = 75.5°, d = 1.259 Å, rel. 8, hkl 2 0 4; 2θ = 75.8°, d = 1.255 Å, rel. 8, hkl 2 2 0; 2θ = 76.8°, d = 1.241 Å, rel. 16, hkl 1 1 6; 2θ = 77.3°, d = 1.234 Å, rel. 16, hkl 1 3 2

Structural model:
Cell: 3.113 4.248 8.568 Å, 90.00 90.00 90.00°
Space group Pmmm (No. 47)
One atom of each set of equivalent atoms:
Ga  0.000  0.000  0.000 x1
Ga  0.000  0.000  0.500 x1
Ga  0.000  0.500  0.241 x2
Ru  0.500  0.000  0.257 x2
Ru  0.500  0.500  0.000 x1
Pt  0.500  0.500  0.500 x1

***

Record 3
Diffraction record for Hf3Mo2Au. The powder X-ray diffraction pattern is theoretical, not measured: it uses a crystal structure in Alexandria, relaxed with GGA-PBE and λ = 1.5418 Å (Cu Kα).

Largest 10 diffraction maxima, low angle first, 15 to 90 degrees two-theta:
2θ = 27.9°, d = 3.195 Å, rel. 4, hkl 1 0 1; 2θ = 32.1°, d = 2.787 Å, rel. 4, hkl 1 0 2; 2θ = 37.7°, d = 2.387 Å, rel. 53, hkl 1 1 0; 2θ = 38.2°, d = 2.357 Å, rel. 100, hkl 1 0 3; 2θ = 54.3°, d = 1.688 Å, rel. 18, hkl 2 0 0; 2θ = 55.9°, d = 1.646 Å, rel. 8, hkl 0 0 6; 2θ = 68.4°, d = 1.372 Å, rel. 36, hkl 2 1 3; 2θ = 69.4°, d = 1.355 Å, rel. 16, hkl 1 1 6; 2θ = 80.5°, d = 1.194 Å, rel. 6, hkl 2 2 0; 2θ = 81.7°, d = 1.178 Å, rel. 11, hkl 2 0 6

Structural model:
Cell: 3.376 3.376 9.875 Å, 90.00 90.00 90.00°
Space group P4/mmm (No. 123)
One atom of each set of equivalent atoms:
Hf  0.000  0.000  0.000 x1
Hf  0.000  0.000  0.321 x2
Mo  0.500  0.500  0.169 x2
Au  0.500  0.500  0.500 x1

***

Record 4
Diffraction record for BaUCu2S4. The powder X-ray diffraction pattern is theoretical, not measured: it uses a crystal structure in Alexandria, relaxed with GGA-PBE and λ = 1.5418 Å (Cu Kα).

Largest 10 diffraction maxima, low angle first, 15 to 90 degrees two-theta:
2θ = 16.1°, d = 5.508 Å, rel. 39, hkl 0 1 1; 2θ = 18.3°, d = 4.860 Å, rel. 39, hkl 1 1 0; 2θ = 24.1°, d = 3.695 Å, rel. 34, hkl 0 2 0; 2θ = 28.4°, d = 3.148 Å, rel. 100, hkl 1 1 2; 2θ = 32.5°, d = 2.754 Å, rel. 28, hkl 0 2 2; 2θ = 35.3°, d = 2.542 Å, rel. 26, hkl 2 0 2; 2θ = 37.0°, d = 2.430 Å, rel. 49, hkl 2 2 0; 2θ = 45.1°, d = 2.010 Å, rel. 28, hkl 1 3 2; 2θ = 47.9°, d = 1.901 Å, rel. 30, hkl 1 1 4; 2θ = 49.3°, d = 1.847 Å, rel. 30, hkl 0 4 0

Structural model:
Cell: 6.451 7.391 8.262 Å, 90.00 90.00 90.00°
Space group I222 (No. 23)
One atom of each set of equivalent atoms:
Ba  0.000  0.000  0.000 x2
U  0.000  0.000  0.500 x2
Cu  0.000  0.500  0.156 x4
S  0.242  0.189  0.309 x8

***

Record 5
Diffraction record for Cs4RbCd3Br12. The powder X-ray diffraction pattern is theoretical, not measured: it uses a crystal structure in Alexandria, relaxed with GGA-PBE and λ = 1.5418 Å (Cu Kα).

Largest 10 diffraction maxima, low angle first, 15 to 90 degrees two-theta:
2θ = 21.6°, d = 4.117 Å, rel. 54, hkl 2 2 0; 2θ = 26.5°, d = 3.361 Å, rel. 60, hkl 2 2 2; 2θ = 30.7°, d = 2.911 Å, rel. 100, hkl 4 0 0; 2θ = 37.9°, d = 2.377 Å, rel. 23, hkl 4 2 2; 2θ = 44.0°, d = 2.058 Å, rel. 70, hkl 4 4 0; 2θ = 52.1°, d = 1.755 Å, rel. 24, hkl 6 2 2; 2θ = 54.6°, d = 1.681 Å, rel. 24, hkl 4 4 4; 2θ = 59.4°, d = 1.556 Å, rel. 14, hkl 6 4 2; 2θ = 72.6°, d = 1.302 Å, rel. 29, hkl 8 4 0; 2θ = 80.9°, d = 1.188 Å, rel. 21, hkl 8 4 4

Structural model:
Cell: 11.644 11.644 11.644 Å, 90.00 90.00 90.00°
Space group Im-3m (No. 229)
One atom of each set of equivalent atoms:
Cs  0.250  0.250  0.250 x8
Rb  0.000  0.000  0.000 x2
Cd  0.000  0.000  0.500 x6
Br  0.000  0.000  0.274 x12
Br  0.000  0.250  0.500 x12

***

Record 6
Diffraction record for Sr4Zr3TiO12. The powder X-ray diffraction pattern is theoretical, not measured: it uses a crystal structure in Alexandria, relaxed with GGA-PBE and λ = 1.5418 Å (Cu Kα).

Largest 10 diffraction maxima, low angle first, 15 to 90 degrees two-theta:
2θ = 30.8°, d = 2.904 Å, rel. 100, hkl 1 1 -2; 2θ = 30.9°, d = 2.895 Å, rel. 20, hkl 2 0 0; 2θ = 44.1°, d = 2.052 Å, rel. 39, hkl 0 0 4; 2θ = 54.7°, d = 1.677 Å, rel. 28, hkl 2 0 -4; 2θ = 54.9°, d = 1.673 Å, rel. 18, hkl -3 1 2; 2θ = 54.9°, d = 1.672 Å, rel. 5, hkl 3 1 2; 2θ = 64.1°, d = 1.452 Å, rel. 14, hkl 2 -2 4; 2θ = 72.8°, d = 1.299 Å, rel. 13, hkl 1 1 -6; 2θ = 89.2°, d = 1.098 Å, rel. 9, hkl 1 -3 6; 2θ = 89.3°, d = 1.097 Å, rel. 5, hkl 3 -1 6

Structural model:
Cell: 5.789 5.814 8.217 Å, 90.03 90.04 90.05°
Space group P-1 (No. 2)
One atom of each set of equivalent atoms:
Sr  0.004  0.023  0.258 x2
Sr  0.496  0.527  0.257 x2
Zr  0.000  0.500  0.000 x1
Zr  0.000  0.500  0.500 x1
Zr  0.500  0.000  0.000 x1
Ti  0.500  0.000  0.500 x1
O  0.068  0.518  0.749 x2
O  0.203  0.798  0.037 x2
O  0.239  0.777  0.467 x2
O  0.277  0.261  0.469 x2
O  0.298  0.297  0.034 x2
O  0.438  0.011  0.740 x2

***

Record 7
Diffraction record for Sm2SiTeO4. The powder X-ray diffraction pattern is theoretical, not measured: it uses a crystal structure in Alexandria, relaxed with GGA-PBE and λ = 1.5418 Å (Cu Kα).

Largest 10 diffraction maxima, low angle first, 15 to 90 degrees two-theta:
2θ = 24.6°, d = 3.614 Å, rel. 36, hkl 1 1 2; 2θ = 29.6°, d = 3.022 Å, rel. 100, hkl 0 2 2; 2θ = 29.8°, d = 3.002 Å, rel. 28, hkl 1 2 1; 2θ = 31.9°, d = 2.804 Å, rel. 62, hkl 0 0 4; 2θ = 32.1°, d = 2.788 Å, rel. 74, hkl 2 1 1; 2θ = 35.0°, d = 2.561 Å, rel. 44, hkl 2 1 2; 2θ = 39.5°, d = 2.281 Å, rel. 43, hkl 2 1 3; 2θ = 40.3°, d = 2.235 Å, rel. 21, hkl 1 3 0; 2θ = 58.6°, d = 1.575 Å, rel. 21, hkl 3 3 0; 2θ = 67.2°, d = 1.394 Å, rel. 19, hkl 4 2 2

Structural model:
Cell: 6.284 7.176 11.216 Å, 90.00 90.00 90.00°
Space group Pbcm (No. 57)
One atom of each set of equivalent atoms:
Sm  0.112  0.037  0.250 x4
Sm  0.388  0.750  0.000 x4
Si  0.114  0.250  0.000 x4
Te  0.405  0.084  0.750 x4
O  0.050  0.733  0.616 x8
O  0.271  0.075  0.035 x8

***

Record 8
Diffraction record for Sb2O5. The powder X-ray diffraction pattern is theoretical, not measured: it uses a crystal structure in Alexandria, relaxed with GGA-PBE and λ = 1.5418 Å (Cu Kα).

Largest 10 diffraction maxima, low angle first, 15 to 90 degrees two-theta:
2θ = 24.5°, d = 3.627 Å, rel. 100, hkl 1 1 -1; 2θ = 26.7°, d = 3.333 Å, rel. 29, hkl 1 1 1; 2θ = 28.5°, d = 3.128 Å, rel. 48, hkl 4 0 0; 2θ = 30.1°, d = 2.973 Å, rel. 54, hkl 3 1 -1; 2θ = 33.4°, d = 2.681 Å, rel. 27, hkl 0 0 2; 2θ = 35.3°, d = 2.539 Å, rel. 37, hkl 3 1 1; 2θ = 40.5°, d = 2.228 Å, rel. 19, hkl 5 1 -1; 2θ = 47.2°, d = 1.926 Å, rel. 24, hkl 4 2 0; 2θ = 53.5°, d = 1.714 Å, rel. 43, hkl 1 1 -3; 2θ = 54.5°, d = 1.684 Å, rel. 22, hkl 4 2 -2

Structural model:
Cell: 12.871 4.889 5.515 Å, 90.00 103.55 90.00°
Space group C2/c (No. 15)
One atom of each set of equivalent atoms:
Sb  0.138  0.239  0.283 x8
O  0.000  0.420  0.250 x4
O  0.102  0.088  0.950 x8
O  0.202  0.421  0.623 x8

***

Record 9
Diffraction record for NpTlCoSe3. The powder X-ray diffraction pattern is theoretical, not measured: it uses a crystal structure in Alexandria, relaxed with GGA-PBE and λ = 1.5418 Å (Cu Kα).

Largest 10 diffraction maxima, low angle first, 15 to 90 degrees two-theta:
2θ = 19.9°, d = 4.456 Å, rel. 23, hkl 0 0 2; 2θ = 23.3°, d = 3.818 Å, rel. 24, hkl 2 0 -2; 2θ = 24.5°, d = 3.631 Å, rel. 28, hkl 0 1 1; 2θ = 29.8°, d = 2.996 Å, rel. 100, hkl 2 1 -1; 2θ = 30.1°, d = 2.970 Å, rel. 51, hkl 0 0 3; 2θ = 30.5°, d = 2.934 Å, rel. 49, hkl 2 1 0; 2θ = 40.5°, d = 2.229 Å, rel. 31, hkl 2 1 2; 2θ = 45.2°, d = 2.007 Å, rel. 26, hkl 2 1 -4; 2θ = 45.6°, d = 1.988 Å, rel. 33, hkl 0 2 0; 2θ = 55.7°, d = 1.652 Å, rel. 25, hkl 0 2 3

Structural model:
Cell: 9.229 3.976 9.461 Å, 90.00 109.62 90.00°
Space group P2_1/m (No. 11)
One atom of each set of equivalent atoms:
Np  0.180  0.250  0.160 x2
Tl  0.301  0.750  0.776 x2
Co  0.419  0.750  0.411 x2
Se  0.043  0.250  0.840 x2
Se  0.314  0.250  0.476 x2
Se  0.390  0.750  0.145 x2

***

Record 10
Diffraction record for CePm2HoTm5. The powder X-ray diffraction pattern is theoretical, not measured: it uses a crystal structure in Alexandria, relaxed with GGA-PBE and λ = 1.5418 Å (Cu Kα).

Largest 10 diffraction maxima, low angle first, 15 to 90 degrees two-theta:
2θ = 29.2°, d = 3.063 Å, rel. 58, hkl 2 1 3; 2θ = 29.6°, d = 3.015 Å, rel. 51, hkl 2 2 0; 2θ = 31.3°, d = 2.860 Å, rel. 100, hkl 2 0 4; 2θ = 33.2°, d = 2.697 Å, rel. 18, hkl 3 1 0; 2θ = 38.5°, d = 2.338 Å, rel. 16, hkl 3 2 1; 2θ = 47.2°, d = 1.928 Å, rel. 12, hkl 0 0 8; 2θ = 47.4°, d = 1.919 Å, rel. 14, hkl 4 1 3; 2θ = 53.6°, d = 1.709 Å, rel. 20, hkl 4 2 4; 2θ = 56.7°, d = 1.624 Å, rel. 12, hkl 2 2 8; 2θ = 61.5°, d = 1.508 Å, rel. 16, hkl 4 4 0

Structural model:
Cell: 8.529 8.529 15.420 Å, 90.00 90.00 90.00°
Space group I4/mcm (No. 140)
One atom of each set of equivalent atoms:
Ce  0.000  0.500  0.250 x4
Pm  0.119  0.381  0.000 x8
Ho  0.000  0.000  0.250 x4
Tm  0.000  0.000  0.000 x4
Tm  0.206  0.294  0.360 x16

***

Record 11
Diffraction record for HoZnCu2Ni. The powder X-ray diffraction pattern is theoretical, not measured: it uses a crystal structure in Alexandria, relaxed with GGA-PBE and λ = 1.5418 Å (Cu Kα).

Largest 10 diffraction maxima, low angle first, 15 to 90 degrees two-theta:
2θ = 33.6°, d = 2.665 Å, rel. 42, hkl 0 1 3; 2θ = 33.9°, d = 2.647 Å, rel. 29, hkl 1 0 3; 2θ = 37.3°, d = 2.410 Å, rel. 100, hkl 1 1 2; 2θ = 47.1°, d = 1.930 Å, rel. 25, hkl 0 1 5; 2θ = 47.3°, d = 1.923 Å, rel. 19, hkl 1 0 5; 2θ = 47.9°, d = 1.899 Å, rel. 21, hkl 0 2 0; 2θ = 48.5°, d = 1.877 Å, rel. 20, hkl 2 0 0; 2θ = 69.9°, d = 1.345 Å, rel. 12, hkl 2 1 5; 2θ = 70.6°, d = 1.335 Å, rel. 12, hkl 2 2 0; 2θ = 83.1°, d = 1.163 Å, rel. 12, hkl 3 1 2

Structural model:
Cell: 3.753 3.798 11.198 Å, 90.00 90.00 90.00°
Space group Imm2 (No. 44)
One atom of each set of equivalent atoms:
Ho  0.000  0.000  0.000 x2
Zn  0.000  0.500  0.760 x2
Cu  0.000  0.000  0.616 x2
Cu  0.000  0.500  0.263 x2
Ni  0.000  0.000  0.403 x2

***

Record 12
Diffraction record for La4Dy5Ho2. The powder X-ray diffraction pattern is theoretical, not measured: it uses a crystal structure in Alexandria, relaxed with GGA-PBE and λ = 1.5418 Å (Cu Kα).

Largest 10 diffraction maxima, low angle first, 15 to 90 degrees two-theta:
2θ = 29.7°, d = 3.012 Å, rel. 52, hkl 1 1 -2; 2θ = 30.0°, d = 2.974 Å, rel. 37, hkl 1 1 2; 2θ = 30.6°, d = 2.920 Å, rel. 57, hkl 3 1 1; 2θ = 30.7°, d = 2.914 Å, rel. 100, hkl 6 0 -1; 2θ = 31.5°, d = 2.838 Å, rel. 89, hkl 2 0 -4; 2θ = 31.7°, d = 2.827 Å, rel. 89, hkl 4 0 3; 2θ = 32.6°, d = 2.743 Å, rel. 67, hkl 3 1 -2; 2θ = 33.7°, d = 2.660 Å, rel. 35, hkl 3 1 2; 2θ = 61.1°, d = 1.517 Å, rel. 30, hkl 6 2 -1; 2θ = 61.6°, d = 1.505 Å, rel. 53, hkl 4 2 3

Structural model:
Cell: 17.767 3.553 11.726 Å, 90.00 94.16 90.00°
Space group C2/m (No. 12)
One atom of each set of equivalent atoms:
La  0.037  0.000  0.262 x4
La  0.141  0.500  0.796 x4
Dy  0.000  0.500  0.000 x2
Dy  0.098  0.000  0.539 x4
Dy  0.178  0.000  0.071 x4
Ho  0.215  0.500  0.358 x4

***

Record 13
Diffraction record for AcGeTe. The powder X-ray diffraction pattern is theoretical, not measured: it uses a crystal structure in Alexandria, relaxed with GGA-PBE and λ = 1.5418 Å (Cu Kα).

Largest 10 diffraction maxima, low angle first, 15 to 90 degrees two-theta:
2θ = 20.5°, d = 4.335 Å, rel. 19, hkl 1 0 0; 2θ = 29.7°, d = 3.010 Å, rel. 100, hkl 1 0 1; 2θ = 35.9°, d = 2.503 Å, rel. 51, hkl 1 1 0; 2θ = 43.3°, d = 2.092 Å, rel. 10, hkl 0 0 2; 2θ = 47.2°, d = 1.924 Å, rel. 28, hkl 2 0 1; 2θ = 57.4°, d = 1.605 Å, rel. 27, hkl 1 1 2; 2θ = 60.7°, d = 1.526 Å, rel. 27, hkl 2 1 1; 2θ = 64.5°, d = 1.445 Å, rel. 9, hkl 3 0 0; 2θ = 80.9°, d = 1.189 Å, rel. 10, hkl 3 0 2; 2θ = 83.7°, d = 1.156 Å, rel. 11, hkl 3 1 1

Structural model:
Cell: 5.0055 5.0055 4.1831 Å, 90.00 90.00 120.00°
Space group P-6m2 (No. 187)
One atom of each set of equivalent atoms:
Ac  0.0000  0.0000  0.0000 x1
Ge  0.3333  0.6667  0.5000 x1
Te  0.6667  0.3333  0.5000 x1